Entry 1:
The following is a calculated powder diffraction line list of Rb3HCl3. It was derived from a PBE-relaxed structure, using copper Kα.
Neutral-atom scattering factors, no anomalous dispersion.

Cell and atoms:
Lattice parameters (Å, degrees): 8.2689 14.6078 8.4208 90.00 91.78 90.00
Space group C2/m (No. 12)
One atom of each set of equivalent atoms:
Rb1 0.1085 0.0000 0.2708 x4
Rb2 0.1880 0.3121 0.2449 x8
H1 0.2181 0.5000 0.3559 x4
Cl1 0.0000 0.1639 0.0000 x4
Cl2 0.0000 0.1787 0.5000 x4
Cl3 0.0066 0.5000 0.7568 x4

Peak list (12 most intense, 10 to 90 degrees two-theta, by angle)
- 21.11 deg, I 73, (0 0 2)
- 23.54 deg, I 86, (1 3 -1)
- 23.69 deg, I 45, (2 0 -1)
- 23.85 deg, I 100, (1 3 1)
- 24.29 deg, I 47, (2 0 1)
- 29.83 deg, I 45, (1 3 -2)
- 30.32 deg, I 30, (1 3 2)
- 32.30 deg, I 44, (2 2 -2)
- 36.92 deg, I 34, (0 6 0)
- 37.51 deg, I 57, (3 3 0)
- 38.90 deg, I 38, (1 3 3)
- 42.95 deg, I 49, (0 0 4)

***

Entry 2:
The following is a calculated powder diffraction line list of CaMgPO4. It was derived from a PBE-relaxed structure, using copper Kα.
Neutral-atom scattering factors, no anomalous dispersion.

Cell and atoms:
Lattice parameters (Å, degrees): 6.0734 6.8515 8.3712 90.00 90.00 90.00
Space group Imma (No. 74)
One atom of each set of equivalent atoms:
Ca1 0.0000 0.0000 0.0000 x4
Mg1 0.2500 0.2500 0.2500 x4
P1 0.0000 0.2500 0.6142 x4
O1 0.0000 0.0618 0.7180 x8
O2 0.2105 0.2500 0.5013 x8

Peak list (12 most intense, 10 to 90 degrees two-theta, by angle)
- 29.00 deg, I 35, (1 1 2)
- 29.41 deg, I 18, (2 0 0)
- 31.84 deg, I 100, (1 2 1)
- 34.02 deg, I 59, (2 1 1)
- 34.71 deg, I 14, (0 1 3)
- 35.40 deg, I 38, (1 0 3)
- 39.66 deg, I 44, (2 2 0)
- 43.23 deg, I 18, (0 0 4)
- 44.45 deg, I 16, (1 2 3)
- 53.50 deg, I 18, (0 4 0)
- 56.13 deg, I 16, (3 0 3)
- 60.10 deg, I 55, (2 2 4)

***

Entry 3:
The following is a calculated powder diffraction line list of Hf7Al2In2. It was derived from a PBE-relaxed structure, using copper Kα.
Neutral-atom scattering factors, no anomalous dispersion.

Cell and atoms:
Lattice parameters (Å, degrees): 10.7826 8.5147 5.3208 90.00 99.79 90.00
Space group C2/m (No. 12)
One atom of each set of equivalent atoms:
Hf1 0.0000 0.0000 0.0000 x2
Hf2 0.0480 0.5000 0.2691 x4
Hf3 0.2444 0.3343 0.7520 x8
Al1 0.2033 0.0000 0.7372 x4
In1 0.0000 0.1878 0.5000 x4

Peak list (12 most intense, 10 to 90 degrees two-theta, by angle)
- 20.43 deg, I 29, (1 1 -1)
- 26.84 deg, I 52, (2 2 0)
- 29.84 deg, I 25, (3 1 -1)
- 30.28 deg, I 28, (2 2 -1)
- 33.74 deg, I 64, (4 0 0)
- 34.53 deg, I 38, (3 1 1)
- 35.48 deg, I 53, (2 0 -2)
- 37.68 deg, I 100, (1 3 1)
- 42.59 deg, I 33, (3 3 -1)
- 45.93 deg, I 22, (2 4 0)
- 59.35 deg, I 33, (5 3 1)
- 61.67 deg, I 29, (1 3 -3)